Structure and theoretical X-ray powder pattern of I2O5 (a cell relaxed with PBE; Cu Kα (λ = 1.5418 Å)).
Neutral-atom scattering factors, no anomalous dispersion.

Structure:
Cell lengths 11.0775, 5.2406, 8.4764 Å; angles 90.00, 106.53, 90.00 degrees
Space group P2_1/c (No. 14)
Asymmetric unit:
I1 0.1271 0.1172 0.2256 [4 per cell]
I2 0.3726 0.6722 0.1682 [4 per cell]
O1 0.0082 0.6371 0.6618 [4 per cell]
O2 0.1939 0.0385 0.4393 [4 per cell]
O3 0.2496 0.5431 0.6289 [4 per cell]
O4 0.3066 0.0121 0.8019 [4 per cell]
O5 0.4902 0.6547 0.8346 [4 per cell]

The 10 most intense peaks (10° ≤ 2θ ≤ 80°), by angle:
two_theta, intensity, (hkl)
20.61, 16, 1 1 -1
21.88, 66, 0 0 2
23.86, 100, 2 1 0
24.18, 60, 2 1 -1
25.61, 18, 1 0 2
28.27, 53, 2 1 1
29.08, 33, 2 1 -2
33.76, 20, 4 0 0
36.01, 28, 0 2 1
47.81, 24, 4 2 -1



Structure and theoretical X-ray powder pattern of I3O8 (a cell relaxed with PBE; Cu Kα (λ = 1.5418 Å)).
Neutral-atom scattering factors, no anomalous dispersion.

Structure:
Cell lengths 7.8504, 7.5452, 14.3406 Å; angles 90.00, 122.21, 90.00 degrees
Space group P2_1/c (No. 14)
Asymmetric unit:
I1 0.0569 0.0564 0.3366 [4 per cell]
I2 0.3711 0.7151 0.0963 [4 per cell]
I3 0.4271 0.2150 0.1101 [4 per cell]
O1 0.0299 0.0762 0.7854 [4 per cell]
O2 0.1434 0.6499 0.9303 [4 per cell]
O3 0.1684 0.2245 0.5136 [4 per cell]
O4 0.1938 0.5951 0.1837 [4 per cell]
O5 0.2640 0.5655 0.5870 [4 per cell]
O6 0.4041 0.2357 0.2368 [4 per cell]
O7 0.4466 0.2141 0.9377 [4 per cell]
O8 0.4677 0.5561 0.8747 [4 per cell]

The 10 most intense peaks (10° ≤ 2θ ≤ 80°), by angle:
two_theta, intensity, (hkl)
13.82, 27, 0 1 1
22.08, 26, 1 1 -3
22.66, 94, 2 0 -2
24.59, 33, 1 0 2
24.95, 51, 1 0 -4
26.80, 27, 2 0 0
27.20, 100, 1 2 0
27.30, 34, 1 2 -2
29.44, 32, 0 0 4
42.60, 29, 3 2 -2



Structure and theoretical X-ray powder pattern of OsI2O8 (a cell relaxed with PBE; Cu Kα (λ = 1.5418 Å)).
Neutral-atom scattering factors, no anomalous dispersion.

Structure:
Cell lengths 7.2569, 10.5925, 4.6432 Å; angles 90.00, 95.54, 90.00 degrees
Space group Cm (No. 8)
Asymmetric unit:
Os1 0.0000 0.0000 0.0000 [2 per cell]
I1 0.4294 0.1799 0.8726 [4 per cell]
O1 0.0146 0.0000 0.3657 [2 per cell]
O2 0.1574 0.1425 0.8913 [4 per cell]
O3 0.3210 0.3758 0.8773 [4 per cell]
O4 0.4212 0.1787 0.4881 [4 per cell]
O5 0.4744 0.0000 0.9526 [2 per cell]

The 10 most intense peaks (10° ≤ 2θ ≤ 80°), by angle:
two_theta, intensity, (hkl)
14.85, 22, 1 1 0
19.21, 100, 0 0 1
24.65, 51, 2 0 0
25.30, 16, 1 1 1
28.13, 73, 1 3 0
29.91, 37, 2 0 -1
33.58, 30, 1 3 -1
34.98, 15, 1 3 1
45.60, 17, 3 3 0
48.35, 17, 3 3 -1



Structure and theoretical X-ray powder pattern of PrPIO4 (a cell relaxed with PBE; Cu Kα (λ = 1.5418 Å)).
Neutral-atom scattering factors, no anomalous dispersion.

Structure:
Cell lengths 11.6139, 6.4733, 6.8012 Å; angles 90.00, 99.64, 90.00 degrees
Space group C2/m (No. 12)
Asymmetric unit:
Pr1 0.1990 0.0000 0.3124 [4 per cell]
P1 0.1359 0.0000 0.7510 [4 per cell]
I1 0.0321 0.5000 0.1977 [4 per cell]
O1 0.0027 0.0000 0.7318 [4 per cell]
O2 0.1784 0.1902 0.6354 [8 per cell]
O3 0.1950 0.0000 0.9702 [4 per cell]

The 10 most intense peaks (10° ≤ 2θ ≤ 80°), by angle:
two_theta, intensity, (hkl)
18.62, 41, 2 0 -1
21.42, 39, 1 1 1
26.59, 45, 0 0 2
27.12, 100, 3 1 0
27.56, 70, 0 2 0
28.46, 33, 3 1 -1
32.00, 25, 3 1 1
33.47, 23, 2 2 -1
35.37, 23, 3 1 -2
38.67, 30, 0 2 2